(1)
# Sr4P3
Computed X-ray diffraction stick pattern, λ = 1.5418 Å (Cu Kα). Input: a PBE-relaxed structure.

Unit cell a=8.041 b=8.041 c=8.041 alpha=109.47 beta=109.47 gamma=109.47
Atoms (fractional coordinates):
Sr 0.000 0.136 0.500
Sr 0.000 0.636 0.500
Sr 0.136 0.500 0.000
Sr 0.364 0.364 0.364
Sr 0.500 0.000 0.136
Sr 0.500 0.000 0.636
Sr 0.636 0.500 0.000
Sr 0.864 0.864 0.864
P 0.125 0.875 0.250
P 0.250 0.125 0.875
P 0.375 0.625 0.750
P 0.625 0.750 0.375
P 0.750 0.375 0.625
P 0.875 0.250 0.125

Main lines, most intense first (5° ≤ 2θ ≤ 70°):
30.44°, intensity 100; 36.20°, intensity 65; 50.09°, intensity 40; 23.47°, intensity 25; 48.00°, intensity 23; 61.57°, intensity 21; 27.16°, intensity 20; 65.10°, intensity 16; 63.35°, intensity 12; 45.84°, intensity 7

(2)
# Sr4P
Computed X-ray diffraction stick pattern, λ = 1.5418 Å (Cu Kα). Input: a PBE-relaxed structure.

Unit cell a=8.600 b=8.413 c=10.357 alpha=53.33 beta=51.68 gamma=74.99
Atoms (fractional coordinates):
Sr 0.035 0.965 0.796
Sr 0.046 0.454 0.285
Sr 0.454 0.046 0.215
Sr 0.460 0.529 0.714
Sr 0.529 0.460 0.298
Sr 0.536 0.952 0.790
Sr 0.952 0.536 0.721
Sr 0.965 0.035 0.204
P 0.244 0.244 0.756
P 0.494 0.494 0.006

Main lines, most intense first (5° ≤ 2θ ≤ 70°):
26.85°, intensity 100; 26.99°, intensity 45; 44.84°, intensity 35; 24.68°, intensity 33; 42.03°, intensity 22; 34.55°, intensity 21; 49.35°, intensity 20; 67.78°, intensity 18; 50.41°, intensity 16; 34.66°, intensity 13

(3)
# Sr2P
Computed X-ray diffraction stick pattern, λ = 1.5418 Å (Cu Kα). Input: a PBE-relaxed structure.

Unit cell a=7.902 b=7.902 c=7.902 alpha=134.83 beta=134.83 gamma=65.79
Atoms (fractional coordinates):
Sr 0.102 0.352 0.750
Sr 0.352 0.102 0.250
Sr 0.648 0.898 0.750
Sr 0.898 0.648 0.250
P 0.125 0.875 0.250
P 0.875 0.125 0.750

Main lines, most intense first (5° ≤ 2θ ≤ 70°):
24.71°, intensity 100; 29.43°, intensity 74; 40.28°, intensity 46; 26.88°, intensity 35; 49.43°, intensity 31; 42.11°, intensity 27; 16.06°, intensity 27; 50.67°, intensity 23; 36.97°, intensity 20; 47.94°, intensity 19

(4)
# Sr3P5
Computed X-ray diffraction stick pattern, λ = 1.5418 Å (Cu Kα). Input: a PBE-relaxed structure.

Unit cell a=6.391 b=6.391 c=4.544 alpha=90.00 beta=90.00 gamma=99.93
Atoms (fractional coordinates):
Sr 0.000 0.000 0.000
Sr 0.280 0.720 0.500
Sr 0.720 0.280 0.500
P 0.000 0.500 0.000
P 0.252 0.252 0.500
P 0.500 0.000 0.000
P 0.500 0.500 0.000
P 0.748 0.748 0.500

Main lines, most intense first (5° ≤ 2θ ≤ 70°):
34.67°, intensity 100; 39.67°, intensity 18; 36.73°, intensity 18; 26.77°, intensity 15; 21.62°, intensity 14; 44.06°, intensity 13; 68.78°, intensity 13; 24.15°, intensity 12; 29.46°, intensity 11; 55.17°, intensity 10

(5)
# Sr6Tl2P
Computed X-ray diffraction stick pattern, λ = 1.5418 Å (Cu Kα). Input: a PBE-relaxed structure.

Unit cell a=7.569 b=8.889 c=13.397 alpha=90.00 beta=122.90 gamma=90.00
Atoms (fractional coordinates):
Sr 0.117 0.168 0.442
Sr 0.117 0.332 0.942
Sr 0.291 0.697 0.441
Sr 0.291 0.803 0.941
Sr 0.373 0.039 0.251
Sr 0.373 0.461 0.751
Sr 0.627 0.539 0.249
Sr 0.627 0.961 0.749
Sr 0.709 0.197 0.059
Sr 0.709 0.303 0.559
Sr 0.883 0.668 0.058
Sr 0.883 0.832 0.558
Tl 0.210 0.104 0.756
Tl 0.210 0.396 0.256
Tl 0.790 0.604 0.744
Tl 0.790 0.896 0.244
P 0.500 0.000 0.500
P 0.500 0.500 0.000

Main lines, most intense first (5° ≤ 2θ ≤ 70°):
31.86°, intensity 100; 25.55°, intensity 99; 31.21°, intensity 84; 28.04°, intensity 77; 15.38°, intensity 75; 33.37°, intensity 71; 26.99°, intensity 68; 28.14°, intensity 67; 26.62°, intensity 64; 28.66°, intensity 61

(6)
# Sr2ZrP
Computed X-ray diffraction stick pattern, λ = 1.5418 Å (Cu Kα). Input: a PBE-relaxed structure.

Unit cell a=3.703 b=3.703 c=9.270 alpha=90.00 beta=90.00 gamma=90.00
Atoms (fractional coordinates):
Sr 0.000 0.000 0.000
Sr 0.500 0.500 0.372
Zr 0.000 0.000 0.654
P 0.500 0.500 0.712

Main lines, most intense first (5° ≤ 2θ ≤ 70°):
25.91°, intensity 100; 34.24°, intensity 95; 30.91°, intensity 92; 45.40°, intensity 69; 28.89°, intensity 62; 9.54°, intensity 37; 49.21°, intensity 35; 58.07°, intensity 33; 37.92°, intensity 31; 59.25°, intensity 28

(7)
# Ta5P
Computed X-ray diffraction stick pattern, λ = 1.5418 Å (Cu Kα). Input: a PBE-relaxed structure.

Unit cell a=4.986 b=4.986 c=4.903 alpha=90.00 beta=90.00 gamma=120.00
Atoms (fractional coordinates):
Ta 0.000 0.668 0.000
Ta 0.332 0.332 0.000
Ta 0.333 0.667 0.500
Ta 0.667 0.333 0.500
Ta 0.668 0.000 0.000
P 0.000 0.000 0.500

Main lines, most intense first (5° ≤ 2θ ≤ 70°):
40.60°, intensity 100; 36.66°, intensity 29; 36.03°, intensity 25; 68.67°, intensity 21; 52.34°, intensity 17; 64.77°, intensity 17; 27.53°, intensity 10; 20.57°, intensity 9; 18.09°, intensity 4; 42.40°, intensity 3

(8)
# TaP
Computed X-ray diffraction stick pattern, λ = 1.5418 Å (Cu Kα). Input: a PBE-relaxed structure.

Unit cell a=6.182 b=6.182 c=6.182 alpha=148.69 beta=148.69 gamma=44.87
Atoms (fractional coordinates):
Ta 0.000 0.000 0.000
Ta 0.750 0.250 0.500
P 0.333 0.833 0.500
P 0.583 0.583 0.000

Main lines, most intense first (5° ≤ 2θ ≤ 70°):
41.41°, intensity 100; 27.86°, intensity 86; 35.78°, intensity 64; 31.31°, intensity 38; 48.27°, intensity 35; 55.05°, intensity 25; 67.41°, intensity 21; 64.71°, intensity 20; 62.81°, intensity 18; 62.69°, intensity 18

(9)
# Ta4Te8P
Computed X-ray diffraction stick pattern, λ = 1.5418 Å (Cu Kα). Input: a PBE-relaxed structure.

Unit cell a=11.782 b=17.277 c=3.714 alpha=90.00 beta=90.00 gamma=90.00
Atoms (fractional coordinates):
Ta 0.084 0.072 0.000
Ta 0.159 0.915 0.500
Ta 0.341 0.415 0.500
Ta 0.416 0.572 0.000
Ta 0.584 0.428 0.000
Ta 0.659 0.585 0.500
Ta 0.841 0.085 0.500
Ta 0.916 0.928 0.000
Te 0.075 0.807 0.000
Te 0.140 0.322 0.500
Te 0.202 0.496 0.000
Te 0.215 0.166 0.500
Te 0.285 0.666 0.500
Te 0.298 0.996 0.000
Te 0.360 0.822 0.500
Te 0.425 0.307 0.000
Te 0.575 0.693 0.000
Te 0.640 0.178 0.500
Te 0.702 0.004 0.000
Te 0.715 0.334 0.500
Te 0.785 0.834 0.500
Te 0.798 0.504 0.000
Te 0.860 0.678 0.500
Te 0.925 0.193 0.000
P 0.000 0.000 0.500
P 0.500 0.500 0.500

Main lines, most intense first (5° ≤ 2θ ≤ 70°):
9.09°, intensity 100; 32.46°, intensity 34; 30.77°, intensity 24; 38.74°, intensity 17; 32.69°, intensity 16; 45.91°, intensity 15; 46.83°, intensity 15; 34.60°, intensity 14; 49.05°, intensity 14; 34.19°, intensity 11

(10)
# TaTe3P2
Computed X-ray diffraction stick pattern, λ = 1.5418 Å (Cu Kα). Input: a PBE-relaxed structure.

Unit cell a=10.066 b=3.373 c=10.296 alpha=90.00 beta=116.78 gamma=90.00
Atoms (fractional coordinates):
Ta 0.061 0.250 0.332
Ta 0.939 0.750 0.668
Te 0.215 0.250 0.145
Te 0.313 0.750 0.468
Te 0.338 0.250 0.836
Te 0.662 0.750 0.164
Te 0.687 0.250 0.532
Te 0.785 0.750 0.855
P 0.089 0.250 0.595
P 0.095 0.250 0.865
P 0.905 0.750 0.135
P 0.911 0.750 0.405

Main lines, most intense first (5° ≤ 2θ ≤ 70°):
31.37°, intensity 100; 9.84°, intensity 84; 44.96°, intensity 64; 37.02°, intensity 53; 26.16°, intensity 46; 26.83°, intensity 44; 33.66°, intensity 43; 28.25°, intensity 42; 17.27°, intensity 42; 25.69°, intensity 37

(11)
# TaTe5P
Computed X-ray diffraction stick pattern, λ = 1.5418 Å (Cu Kα). Input: a PBE-relaxed structure.

Unit cell a=7.633 b=7.633 c=15.511 alpha=90.00 beta=90.00 gamma=151.50
Atoms (fractional coordinates):
Ta 0.010 0.990 0.750
Ta 0.990 0.010 0.250
Te 0.107 0.893 0.585
Te 0.107 0.893 0.915
Te 0.342 0.658 0.250
Te 0.405 0.595 0.652
Te 0.405 0.595 0.848
Te 0.595 0.405 0.152
Te 0.595 0.405 0.348
Te 0.658 0.342 0.750
Te 0.893 0.107 0.085
Te 0.893 0.107 0.415
P 0.500 0.500 0.000
P 0.500 0.500 0.500

Main lines, most intense first (5° ≤ 2θ ≤ 70°):
11.96°, intensity 100; 32.09°, intensity 65; 11.41°, intensity 61; 31.27°, intensity 50; 30.46°, intensity 50; 42.90°, intensity 48; 30.01°, intensity 40; 40.51°, intensity 33; 34.67°, intensity 33; 43.49°, intensity 29

(12)
# TmTaP2
Computed X-ray diffraction stick pattern, λ = 1.5418 Å (Cu Kα). Input: a PBE-relaxed structure.

Unit cell a=6.794 b=6.794 c=6.794 alpha=31.06 beta=31.06 gamma=31.06
Atoms (fractional coordinates):
Tm 0.000 0.000 0.000
Ta 0.825 0.825 0.825
P 0.419 0.419 0.419
P 0.570 0.570 0.570

Main lines, most intense first (5° ≤ 2θ ≤ 70°):
36.76°, intensity 100; 28.71°, intensity 92; 50.15°, intensity 53; 43.51°, intensity 48; 27.61°, intensity 43; 29.82°, intensity 42; 33.94°, intensity 37; 58.21°, intensity 34; 63.77°, intensity 20; 60.17°, intensity 19

(13)
# Tb2Tc12P7
Computed X-ray diffraction stick pattern, λ = 1.5418 Å (Cu Kα). Input: a PBE-relaxed structure.

Unit cell a=9.564 b=9.564 c=3.954 alpha=90.00 beta=90.00 gamma=120.00
Atoms (fractional coordinates):
Tb 0.000 0.000 0.000
Tb 0.333 0.667 0.500
Tc 0.057 0.291 0.500
Tc 0.099 0.732 0.000
Tc 0.234 0.943 0.500
Tc 0.268 0.367 0.000
Tc 0.451 0.211 0.000
Tc 0.510 0.450 0.500
Tc 0.550 0.060 0.500
Tc 0.633 0.901 0.000
Tc 0.709 0.766 0.500
Tc 0.761 0.549 0.000
Tc 0.789 0.239 0.000
Tc 0.940 0.490 0.500
P 0.068 0.459 0.000
P 0.262 0.203 0.500
P 0.392 0.932 0.000
P 0.541 0.608 0.000
P 0.667 0.333 0.500
P 0.797 0.058 0.500
P 0.942 0.738 0.500

Main lines, most intense first (5° ≤ 2θ ≤ 70°):
36.61°, intensity 100; 45.90°, intensity 21; 45.68°, intensity 20; 28.51°, intensity 14; 50.50°, intensity 13; 39.22°, intensity 11; 37.62°, intensity 10; 39.82°, intensity 10; 24.95°, intensity 8; 47.87°, intensity 8